Theoretical X-ray diffraction stick pattern of BaCr2WO8 for λ = 1.5418 Å (Cu Kα), from DFT lattice parameters and positions (PBE+U).
No peak broadening, texture or thermal motion is included.

Largest 12 diffraction maxima, in order of rising 2θ, 2θ from 10° to 80°:
2θ (°), Rel. int.
18.50, 71.3
20.71, 32.7
22.62, 100.0
29.13, 92.9
29.52, 52.9
34.15, 57.8
37.39, 27.9
37.51, 25.1
39.43, 27.2
40.03, 26.3
51.12, 23.1
52.13, 19.9

Atomic structure:
abc: 5.078 5.078 7.232
angles: 102.30 102.30 73.15
Positions (direct):
Ba (0.000, 0.000, 0.000)
Cr (0.441, 0.441, 0.775)
Cr (0.559, 0.559, 0.225)
W (0.000, 0.000, 0.500)
O (0.223, 0.762, 0.302)
O (0.238, 0.777, 0.698)
O (0.239, 0.239, 0.571)
O (0.348, 0.348, 0.973)
O (0.652, 0.652, 0.027)
O (0.761, 0.761, 0.429)
O (0.762, 0.223, 0.302)
O (0.777, 0.238, 0.698)